# 1
Structure and simulated powder diffraction line list of In4Sn3O12 (the GGA-PBE geometry in Alexandria; Cu Kα (λ = 1.5418 Å)).

Top 10 peaks for 10° ≤ 2θ ≤ 90°, in order of rising 2θ:
d_spacing  intensity  index
2.995  100.0  0 2 -2
2.974  51.3  2 -1 0
2.963  50.8  1 0 -4
2.584  40.7  2 1 -2
2.579  20.3  1 -1 4
1.824  29.4  1 2 -6
1.815  14.8  -3 1 4
1.562  17.1  2 3 -4
1.556  19.1  2 0 6
1.552  17.2  0 1 -8

Cell lengths 6.302, 6.369, 12.592 Å; angles 99.70, 99.29, 99.41 degrees
Positions (direct):
In  0.000  0.000  0.000
In  0.001  0.001  0.505
In  0.088  0.260  0.281
In  0.252  0.553  0.045
In  0.537  0.180  0.649
In  0.705  0.470  0.913
In  0.709  0.473  0.416
In  0.790  0.731  0.695
Sn  0.083  0.264  0.780
Sn  0.254  0.545  0.546
Sn  0.396  0.868  0.846
Sn  0.399  0.866  0.348
Sn  0.531  0.188  0.147
Sn  0.790  0.731  0.192
O  0.081  0.913  0.292
O  0.085  0.938  0.808
O  0.217  0.298  0.644
O  0.219  0.277  0.137
O  0.295  0.553  0.873
O  0.302  0.559  0.383
O  0.342  0.977  0.501
O  0.350  0.957  0.010
O  0.438  0.773  0.684
O  0.460  0.755  0.192
O  0.479  0.182  0.817
O  0.492  0.176  0.310
O  0.563  0.453  0.556
O  0.574  0.442  0.058
O  0.707  0.805  0.885
O  0.716  0.811  0.389
O  0.799  0.040  0.142
O  0.807  0.450  0.253
O  0.826  0.444  0.757
O  0.827  0.046  0.646
O  0.966  0.692  0.060
O  0.980  0.285  0.934
O  0.984  0.684  0.557
O  0.988  0.288  0.439



# 2
Structure and simulated powder diffraction line list of KRb3H6Au2 (the GGA-PBE geometry in Alexandria; Cu Kα (λ = 1.5418 Å)).

Top 10 peaks for 10° ≤ 2θ ≤ 90°, in order of rising 2θ:
d_spacing  intensity  index
5.574  17.3  1 0 0
4.490  38.7  0 1 1
3.787  20.0  0 0 2
3.218  100.0  1 1 0
3.133  64.3  1 0 2
2.452  37.0  1 1 2
2.245  25.9  0 2 2
1.858  20.8  3 0 0
1.841  27.3  2 1 2
1.632  24.5  1 1 4

Cell lengths 6.437, 6.437, 7.574 Å; angles 90.00, 90.00, 120.00 degrees
Positions (direct):
K  0.000  0.000  0.000
Rb  0.000  0.000  0.500
Rb  0.333  0.667  0.229
Rb  0.667  0.333  0.771
H  0.178  0.356  0.762
H  0.178  0.822  0.762
H  0.356  0.178  0.238
H  0.644  0.822  0.762
H  0.822  0.178  0.238
H  0.822  0.644  0.238
Au  0.333  0.667  0.761
Au  0.667  0.333  0.239